No. 1
For LiSm4Tm4O12, DFT lattice parameters and positions (PBE) gives the calculated X-ray powder pattern in this record (Cu Kα, 1.54184 Å).

a = 5.6852 Å, b = 8.3272 Å, c = 6.1616 Å
α = 90.00°, β = 91.38°, γ = 90.00°
Positions (direct):
Li  0.0000  0.0000  0.0000
Sm  0.0521  0.5000  0.7562
Sm  0.0805  0.0000  0.6125
Sm  0.5236  0.0000  0.1760
Sm  0.5970  0.5000  0.2964
Tm  0.0663  0.2799  0.2305
Tm  0.0663  0.7201  0.2305
Tm  0.5587  0.2459  0.7437
Tm  0.5587  0.7541  0.7437
O  0.2358  0.1670  0.9257
O  0.2361  0.5000  0.1095
O  0.2358  0.8330  0.9257
O  0.3617  0.1744  0.4298
O  0.3617  0.8256  0.4298
O  0.4311  0.5000  0.6533
O  0.7152  0.0000  0.8091
O  0.7352  0.3121  0.0512
O  0.7352  0.6879  0.0512
O  0.8739  0.3003  0.5505
O  0.8739  0.6997  0.5505
O  0.9182  0.0000  0.2759

Most intense lines, 2θ = 5–70°, low angle first:
2θ (°)	Rel. int.
28.99	40
30.12	100
30.49	93
31.48	44
42.77	19
43.47	22
43.88	20
54.65	19
54.98	21
55.67	22



No. 2
For TmPd8Au6, DFT lattice parameters and positions (PBE) gives the calculated X-ray powder pattern in this record (Cu Kα, 1.54184 Å).

a = 7.6805 Å, b = 7.6805 Å, c = 5.2313 Å
α = 90.00°, β = 90.00°, γ = 120.00°
Positions (direct):
Tm  0.0000  0.0000  0.0000
Pd  0.0486  0.7591  0.6707
Pd  0.2409  0.2895  0.6707
Pd  0.2895  0.0486  0.3293
Pd  0.3333  0.6667  0.7267
Pd  0.6667  0.3333  0.2733
Pd  0.7105  0.9514  0.6707
Pd  0.7591  0.7105  0.3293
Pd  0.9514  0.2409  0.3293
Au  0.1023  0.6524  0.1802
Au  0.3476  0.4499  0.1802
Au  0.4499  0.1023  0.8198
Au  0.5501  0.8977  0.1802
Au  0.6524  0.5501  0.8198
Au  0.8977  0.3476  0.8198

Most intense lines, 2θ = 5–70°, low angle first:
2θ (°)	Rel. int.
31.89	16
34.28	14
35.71	43
36.93	18
39.78	100
40.69	8
41.78	30
50.34	18
64.16	15
65.10	9



No. 3
For PuPa4Ti, DFT lattice parameters and positions (PBE) gives the calculated X-ray powder pattern in this record (Cu Kα, 1.54184 Å).

a = 7.4987 Å, b = 7.4987 Å, c = 7.4987 Å
α = 133.96°, β = 92.37°, γ = 105.34°
Positions (direct):
Pu  0.0000  0.0000  0.0000
Pu  0.5000  0.0000  0.5000
Pa  0.1725  0.1714  0.4990
Pa  0.1720  0.6681  0.5038
Pa  0.1725  0.6735  0.0010
Pa  0.3357  0.3319  0.0038
Pa  0.6643  0.6681  0.9962
Pa  0.8275  0.3265  0.9990
Pa  0.8280  0.3319  0.4962
Pa  0.8275  0.8286  0.5010
Ti  0.5000  0.0000  0.0000
Ti  0.5000  0.5000  0.5000

Most intense lines, 2θ = 5–70°, low angle first:
2θ (°)	Rel. int.
12.94	17
30.73	25
33.27	44
34.55	52
35.15	100
37.63	56
43.83	19
48.72	27
62.30	20
63.97	30



No. 4
For NaNb6O16, DFT lattice parameters and positions (PBE) gives the calculated X-ray powder pattern in this record (Cu Kα, 1.54184 Å).

a = 3.9210 Å, b = 9.1706 Å, c = 9.1706 Å
α = 70.16°, β = 90.00°, γ = 90.00°
Positions (direct):
Na  0.0000  0.0000  0.0000
Nb  0.5000  0.2272  0.5981
Nb  0.5000  0.3395  0.9782
Nb  0.5000  0.5981  0.2272
Nb  0.5000  0.5975  0.5975
Nb  0.5000  0.8118  0.8118
Nb  0.5000  0.9782  0.3395
O  0.0000  0.2405  0.5928
O  0.0000  0.3127  0.9657
O  0.0000  0.5928  0.2405
O  0.0000  0.6015  0.6015
O  0.0000  0.8267  0.8267
O  0.0000  0.9657  0.3127
O  0.5000  0.0449  0.7787
O  0.5000  0.1169  0.1169
O  0.5000  0.1336  0.4350
O  0.5000  0.3629  0.7477
O  0.5000  0.4350  0.1336
O  0.5000  0.4597  0.4597
O  0.5000  0.5888  0.8346
O  0.5000  0.7477  0.3629
O  0.5000  0.7787  0.0449
O  0.5000  0.8346  0.5888

Most intense lines, 2θ = 5–70°, low angle first:
2θ (°)	Rel. int.
10.25	16
19.64	16
22.68	100
23.71	33
26.05	69
29.22	39
34.80	29
37.30	20
46.32	29
53.90	17